Structure and simulated XRD peak list of Li2PrWO6 (a GGA+U-relaxed structure; Cu Kα, 1.54184 Å).
Kinematic intensities with the Lorentz-polarization factor, no thermal factor.

Atomic structure:
Cell lengths 5.3969, 5.3969, 14.7826 Å; angles 90.00, 90.00, 120.00 degrees
Space group R3 (No. 146, hexagonal axes)
Unique sites:
Li 0.0000 0.0000 0.0000 (multiplicity 3)
Li 0.0000 0.0000 0.4913 (multiplicity 3)
Pr 0.0000 0.0000 0.2167 (multiplicity 3)
W 0.0000 0.0000 0.7066 (multiplicity 3)
O 0.0100 0.3122 0.7699 (multiplicity 9)
O 0.0347 0.7403 0.6165 (multiplicity 9)

Largest 8 diffraction maxima, by angle, 2θ from 15° to 90°:
(0 1 2), 22.51 deg, intensity 100; (1 0 4), 30.85 deg, intensity 46; (1 1 0), 33.20 deg, intensity 31; (2 0 2), 40.48 deg, intensity 21; (0 2 4), 45.95 deg, intensity 17; (2 -1 6), 50.14 deg, intensity 28; (3 -2 2), 53.32 deg, intensity 28; (3 -1 4), 57.85 deg, intensity 17